Starting from a DFT-relaxed cell (GGA-PBE, Alexandria), the XRD peak list of Rb10Hg2O3 was computed for a wavelength of 1.5418 Å.
No peak broadening, texture or thermal motion is included.

Structural model:
```
Rb10Hg2O3
1.0
13.468 -4.241 0.000
13.468 4.241 0.000
-4.441 0.000 10.933
Rb Hg O
20 4 6
direct
0.000 0.500 0.500 Rb
0.023 0.023 0.674 Rb
0.087 0.628 0.026 Rb
0.136 0.136 0.252 Rb
0.136 0.646 0.478 Rb
0.209 0.791 0.000 Rb
0.230 0.230 0.752 Rb
0.354 0.864 0.522 Rb
0.372 0.913 0.974 Rb
0.482 0.482 0.338 Rb
0.500 0.000 0.500 Rb
0.518 0.518 0.662 Rb
0.628 0.087 0.026 Rb
0.646 0.136 0.478 Rb
0.770 0.770 0.248 Rb
0.791 0.209 0.000 Rb
0.864 0.354 0.522 Rb
0.864 0.864 0.748 Rb
0.913 0.372 0.974 Rb
0.977 0.977 0.326 Rb
0.282 0.282 0.214 Hg
0.380 0.380 0.756 Hg
0.620 0.620 0.244 Hg
0.718 0.718 0.786 Hg
0.075 0.075 0.977 O
0.175 0.175 0.509 O
0.249 0.751 0.500 O
0.751 0.249 0.500 O
0.825 0.825 0.491 O
0.925 0.925 0.023 O
```

Principal peaks in the range 10 to 90 degrees two-theta, low angle first:
18.85°, d = 4.708 Å, I = 24
25.62°, d = 3.477 Å, I = 30
25.73°, d = 3.462 Å, I = 52
26.60°, d = 3.351 Å, I = 100
28.62°, d = 3.119 Å, I = 21
28.96°, d = 3.083 Å, I = 82
32.76°, d = 2.733 Å, I = 21
43.98°, d = 2.059 Å, I = 24
44.36°, d = 2.042 Å, I = 21
50.45°, d = 1.809 Å, I = 24

Starting from a DFT-relaxed cell (GGA-PBE, Alexandria), the XRD peak list of Pm3Er8Th2 was computed for a wavelength of 1.5418 Å.
No peak broadening, texture or thermal motion is included.

Structural model:
```
Pm3Er8Th2
1.0
6.531 0.000 0.000
-2.208 7.554 0.000
-0.096 -0.065 17.151
Pm Er Th
6 16 4
direct
0.000 0.000 0.000 Pm
0.000 0.500 0.500 Pm
0.159 0.035 0.235 Pm
0.389 0.598 0.743 Pm
0.611 0.402 0.257 Pm
0.841 0.965 0.765 Pm
0.135 0.340 0.890 Er
0.141 0.839 0.610 Er
0.158 0.537 0.267 Er
0.173 0.259 0.613 Er
0.180 0.763 0.884 Er
0.390 0.109 0.757 Er
0.414 0.331 0.432 Er
0.420 0.828 0.066 Er
0.580 0.172 0.934 Er
0.586 0.669 0.568 Er
0.610 0.891 0.243 Er
0.820 0.237 0.116 Er
0.827 0.741 0.387 Er
0.842 0.463 0.733 Er
0.859 0.161 0.390 Er
0.865 0.660 0.110 Er
0.365 0.380 0.081 Th
0.370 0.878 0.419 Th
0.630 0.122 0.581 Th
0.635 0.620 0.919 Th
```

Principal peaks in the range 10 to 90 degrees two-theta, low angle first:
29.59°, d = 3.019 Å, I = 20
31.31°, d = 2.857 Å, I = 100
31.51°, d = 2.839 Å, I = 23
31.64°, d = 2.828 Å, I = 21
31.80°, d = 2.814 Å, I = 57
32.01°, d = 2.796 Å, I = 30
32.50°, d = 2.755 Å, I = 76
32.68°, d = 2.741 Å, I = 76
34.86°, d = 2.574 Å, I = 32
46.15°, d = 1.967 Å, I = 23

Starting from a DFT-relaxed cell (GGA-PBE, Alexandria), the XRD peak list of La3Cu4 was computed for a wavelength of 1.5418 Å.
No peak broadening, texture or thermal motion is included.

Structural model:
```
La3Cu4
1.0
2.228 -5.207 0.000
2.228 5.207 0.000
0.000 0.000 13.496
La Cu
6 8
direct
0.012 0.988 0.750 La
0.272 0.728 0.101 La
0.272 0.728 0.399 La
0.728 0.272 0.601 La
0.728 0.272 0.899 La
0.988 0.012 0.250 La
0.000 0.000 0.000 Cu
0.000 0.000 0.500 Cu
0.313 0.687 0.750 Cu
0.440 0.560 0.585 Cu
0.440 0.560 0.915 Cu
0.560 0.440 0.085 Cu
0.560 0.440 0.415 Cu
0.687 0.313 0.250 Cu
```

Principal peaks in the range 10 to 90 degrees two-theta, low angle first:
29.49°, d = 3.029 Å, I = 93
31.60°, d = 2.831 Å, I = 50
32.70°, d = 2.738 Å, I = 46
33.39°, d = 2.684 Å, I = 41
34.44°, d = 2.604 Å, I = 100
38.49°, d = 2.339 Å, I = 74
40.04°, d = 2.252 Å, I = 75
40.49°, d = 2.228 Å, I = 59
52.25°, d = 1.751 Å, I = 24
58.26°, d = 1.584 Å, I = 45

Starting from a DFT-relaxed cell (GGA-PBE, Alexandria), the XRD peak list of LaMg14Sb was computed for a wavelength of 1.5418 Å.
No peak broadening, texture or thermal motion is included.

Structural model:
```
LaMg14Sb
1.0
6.577 0.000 0.000
-3.288 5.696 0.000
0.000 0.000 10.414
La Mg Sb
1 14 1
direct
0.000 0.000 0.000 La
0.015 0.508 0.000 Mg
0.168 0.337 0.258 Mg
0.168 0.337 0.742 Mg
0.168 0.832 0.258 Mg
0.168 0.832 0.742 Mg
0.492 0.508 0.000 Mg
0.492 0.985 0.000 Mg
0.505 0.009 0.500 Mg
0.505 0.495 0.500 Mg
0.663 0.832 0.258 Mg
0.663 0.832 0.742 Mg
0.667 0.333 0.238 Mg
0.667 0.333 0.762 Mg
0.991 0.495 0.500 Mg
0.000 0.000 0.500 Sb
```

Principal peaks in the range 10 to 90 degrees two-theta, low angle first:
15.56°, d = 5.696 Å, I = 54
23.14°, d = 3.843 Å, I = 45
31.41°, d = 2.848 Å, I = 31
32.19°, d = 2.780 Å, I = 19
34.45°, d = 2.603 Å, I = 24
35.94°, d = 2.499 Å, I = 100
47.31°, d = 1.922 Å, I = 19
55.92°, d = 1.644 Å, I = 17
62.69°, d = 1.482 Å, I = 18
67.36°, d = 1.390 Å, I = 19

Starting from a DFT-relaxed cell (GGA-PBE, Alexandria), the XRD peak list of La2CdRu2 was computed for a wavelength of 1.5418 Å.
No peak broadening, texture or thermal motion is included.

Structural model:
```
La2CdRu2
1.0
5.257 -2.771 0.000
5.257 2.771 0.000
-2.737 0.000 8.108
La Cd Ru
4 2 4
direct
0.000 0.294 0.142 La
0.000 0.706 0.858 La
0.294 0.000 0.642 La
0.706 0.000 0.358 La
0.371 0.629 0.250 Cd
0.629 0.371 0.750 Cd
0.186 0.520 0.473 Ru
0.480 0.814 0.027 Ru
0.520 0.186 0.973 Ru
0.814 0.480 0.527 Ru
```

Principal peaks in the range 10 to 90 degrees two-theta, low angle first:
30.27°, d = 2.953 Å, I = 42
32.63°, d = 2.744 Å, I = 100
33.10°, d = 2.706 Å, I = 52
34.19°, d = 2.622 Å, I = 95
35.43°, d = 2.534 Å, I = 97
35.77°, d = 2.510 Å, I = 58
37.05°, d = 2.426 Å, I = 50
40.50°, d = 2.227 Å, I = 70
45.76°, d = 1.983 Å, I = 36
63.10°, d = 1.473 Å, I = 39

Starting from a DFT-relaxed cell (GGA-PBE, Alexandria), the XRD peak list of K2MgSe2O6 was computed for a wavelength of 1.5418 Å.
No peak broadening, texture or thermal motion is included.

Structural model:
```
K2MgSe2O6
1.0
2.868 1.656 7.932
-2.868 1.656 7.932
0.000 -3.312 7.932
K Mg Se O
2 1 2 6
direct
0.221 0.221 0.221 K
0.779 0.779 0.779 K
0.500 0.500 0.500 Mg
0.084 0.084 0.084 Se
0.916 0.916 0.916 Se
0.200 0.728 0.728 O
0.272 0.272 0.800 O
0.272 0.800 0.272 O
0.728 0.200 0.728 O
0.728 0.728 0.200 O
0.800 0.272 0.272 O
```

Principal peaks in the range 10 to 90 degrees two-theta, low angle first:
11.16°, d = 7.932 Å, I = 100
18.24°, d = 4.863 Å, I = 90
22.42°, d = 3.966 Å, I = 51
25.93°, d = 3.437 Å, I = 41
31.19°, d = 2.868 Å, I = 78
31.90°, d = 2.805 Å, I = 58
36.37°, d = 2.470 Å, I = 20
38.75°, d = 2.324 Å, I = 39
45.21°, d = 2.005 Å, I = 53
55.95°, d = 1.644 Å, I = 22

Starting from a DFT-relaxed cell (GGA-PBE, Alexandria), the XRD peak list of U2Ni3As4 was computed for a wavelength of 1.5418 Å.
No peak broadening, texture or thermal motion is included.

Structural model:
```
U2Ni3As4
1.0
4.091 0.000 0.000
0.000 4.091 0.000
0.000 0.000 9.143
U Ni As
2 3 4
direct
0.000 0.000 0.000 U
0.500 0.500 0.497 U
0.000 0.500 0.253 Ni
0.500 0.000 0.253 Ni
0.500 0.500 0.864 Ni
0.000 0.000 0.402 As
0.000 0.500 0.740 As
0.500 0.000 0.740 As
0.500 0.500 0.116 As
```

Principal peaks in the range 10 to 90 degrees two-theta, low angle first:
23.83°, d = 3.734 Å, I = 27
30.91°, d = 2.893 Å, I = 13
36.77°, d = 2.444 Å, I = 100
44.28°, d = 2.046 Å, I = 30
55.01°, d = 1.669 Å, I = 14
58.87°, d = 1.569 Å, I = 19
64.41°, d = 1.446 Å, I = 10
69.75°, d = 1.348 Å, I = 9
73.17°, d = 1.293 Å, I = 14
76.53°, d = 1.245 Å, I = 22

Starting from a DFT-relaxed cell (GGA-PBE, Alexandria), the XRD peak list of Ca3AcZn2 was computed for a wavelength of 1.5418 Å.
No peak broadening, texture or thermal motion is included.

Structural model:
```
Ca3AcZn2
1.0
8.879 -2.161 0.000
8.879 2.161 0.000
-6.541 0.000 10.536
Ca Ac Zn
6 2 4
direct
0.077 0.077 0.426 Ca
0.082 0.082 0.940 Ca
0.350 0.350 0.761 Ca
0.650 0.650 0.239 Ca
0.918 0.918 0.060 Ca
0.923 0.923 0.574 Ca
0.344 0.344 0.267 Ac
0.656 0.656 0.733 Ac
0.266 0.266 0.457 Zn
0.269 0.269 0.954 Zn
0.731 0.731 0.046 Zn
0.734 0.734 0.543 Zn
```

Principal peaks in the range 10 to 90 degrees two-theta, low angle first:
10.20°, d = 8.669 Å, I = 79
11.73°, d = 7.544 Å, I = 100
26.63°, d = 3.347 Å, I = 38
27.20°, d = 3.278 Å, I = 78
29.24°, d = 3.054 Å, I = 76
29.42°, d = 3.036 Å, I = 39
30.25°, d = 2.955 Å, I = 43
35.64°, d = 2.519 Å, I = 41
35.84°, d = 2.505 Å, I = 37
37.63°, d = 2.390 Å, I = 55